No. 1
The following is a simulated PXRD pattern of CdP2. It was derived from a crystal structure in Alexandria, relaxed with GGA-PBE, using Cu Kα (λ = 1.5418 Å).
Neutral-atom scattering factors, no anomalous dispersion.

Atomic structure:
a b c (Å): 10.0066 5.4717 5.2393
angles (deg): 90.00 90.00 90.00
Fractional positions:
Cd 0.1522 0.1008 0.0000
Cd 0.3478 0.6008 0.5000
Cd 0.6522 0.3992 0.0000
Cd 0.8478 0.8992 0.5000
P 0.0064 0.7253 0.1497
P 0.1196 0.4406 0.3462
P 0.3804 0.9406 0.8462
P 0.4936 0.2253 0.6497
P 0.5064 0.7747 0.1497
P 0.6196 0.0594 0.3462
P 0.8804 0.5594 0.8462
P 0.9936 0.2747 0.6497

Most intense lines, 2θ = 10–90°, by angle:
| d [Å] | I_rel |
| --- | --- |
| 3.692 | 38 |
| 3.618 | 62 |
| 3.540 | 100 |
| 3.018 | 19 |
| 2.848 | 21 |
| 2.357 | 25 |
| 1.961 | 28 |
| 1.928 | 21 |

***

No. 2
The following is a simulated PXRD pattern of CsYAu2I6. It was derived from a crystal structure in Alexandria, relaxed with GGA-PBE, using Cu Kα (λ = 1.5418 Å).
Neutral-atom scattering factors, no anomalous dispersion.

Atomic structure:
a b c (Å): 7.6772 8.5276 9.2718
angles (deg): 71.06 71.51 73.83
Fractional positions:
Cs 0.0000 0.0000 0.0000
Y 0.4986 0.4985 0.4991
Au 0.0999 0.4510 0.2739
Au 0.8980 0.5455 0.7245
I 0.1456 0.7287 0.6591
I 0.3268 0.1970 0.6186
I 0.3620 0.6239 0.1906
I 0.6360 0.3725 0.8073
I 0.6715 0.7994 0.3786
I 0.8522 0.2677 0.3400

Most intense lines, 2θ = 10–90°, by angle:
| d [Å] | I_rel |
| --- | --- |
| 7.910 | 98 |
| 4.233 | 100 |
| 4.226 | 53 |
| 4.192 | 58 |
| 4.131 | 59 |
| 3.100 | 46 |
| 2.953 | 48 |
| 2.890 | 50 |

***

No. 3
The following is a simulated PXRD pattern of Tb2NpS4. It was derived from a crystal structure in Alexandria, relaxed with GGA-PBE, using Cu Kα (λ = 1.5418 Å).
Neutral-atom scattering factors, no anomalous dispersion.

Atomic structure:
a b c (Å): 6.7781 6.7781 13.0556
angles (deg): 90.00 90.00 146.84
Fractional positions:
Tb 0.1324 0.8676 0.5681
Tb 0.1324 0.8676 0.9319
Tb 0.8676 0.1324 0.0681
Tb 0.8676 0.1324 0.4319
Np 0.3790 0.6210 0.7500
Np 0.6210 0.3790 0.2500
S 0.0323 0.9677 0.7500
S 0.2264 0.7736 0.1240
S 0.2264 0.7736 0.3760
S 0.5000 0.5000 0.0000
S 0.5000 0.5000 0.5000
S 0.7736 0.2264 0.6240
S 0.7736 0.2264 0.8760
S 0.9677 0.0323 0.2500

Most intense lines, 2θ = 10–90°, by angle:
| d [Å] | I_rel |
| --- | --- |
| 3.616 | 100 |
| 3.566 | 35 |
| 3.248 | 27 |
| 3.223 | 34 |
| 2.817 | 42 |
| 2.639 | 49 |
| 2.135 | 32 |
| 1.938 | 39 |

***

No. 4
The following is a simulated PXRD pattern of Ba4Cd2InHg. It was derived from a crystal structure in Alexandria, relaxed with GGA-PBE, using Cu Kα (λ = 1.5418 Å).
Neutral-atom scattering factors, no anomalous dispersion.

Atomic structure:
a b c (Å): 10.4148 10.4148 10.4148
angles (deg): 33.54 33.54 33.54
Fractional positions:
Ba 0.1240 0.1240 0.1240
Ba 0.3745 0.3745 0.3745
Ba 0.6255 0.6255 0.6255
Ba 0.8760 0.8760 0.8760
Cd 0.2478 0.2478 0.2478
Cd 0.7522 0.7522 0.7522
In 0.5000 0.5000 0.5000
Hg 0.0000 0.0000 0.0000

Most intense lines, 2θ = 10–90°, by angle:
| d [Å] | I_rel |
| --- | --- |
| 4.908 | 1 |
| 3.006 | 100 |
| 2.125 | 19 |
| 1.735 | 39 |
| 1.503 | 12 |
| 1.344 | 17 |
| 1.227 | 4 |
| 1.136 | 20 |

***

No. 5
The following is a simulated PXRD pattern of Ba2Dy2O5. It was derived from a crystal structure in Alexandria, relaxed with GGA-PBE, using Cu Kα (λ = 1.5418 Å).
Neutral-atom scattering factors, no anomalous dispersion.

Atomic structure:
a b c (Å): 6.6143 6.6143 7.1547
angles (deg): 121.67 121.67 38.14
Fractional positions:
Ba 0.1298 0.1298 0.4799
Ba 0.8702 0.8702 0.5201
Dy 0.3871 0.3871 0.0852
Dy 0.6129 0.6129 0.9148
O 0.1566 0.1566 0.8829
O 0.3873 0.3873 0.7747
O 0.5000 0.5000 0.5000
O 0.6127 0.6127 0.2253
O 0.8434 0.8434 0.1171

Most intense lines, 2θ = 10–90°, by angle:
| d [Å] | I_rel |
| --- | --- |
| 3.699 | 58 |
| 3.577 | 43 |
| 3.029 | 95 |
| 2.999 | 100 |
| 2.975 | 35 |
| 2.599 | 57 |
| 2.161 | 40 |
| 2.088 | 52 |

***

No. 6
The following is a simulated PXRD pattern of AcPm4Nd2. It was derived from a crystal structure in Alexandria, relaxed with GGA-PBE, using Cu Kα (λ = 1.5418 Å).
Neutral-atom scattering factors, no anomalous dispersion.

Atomic structure:
a b c (Å): 9.4762 9.4762 5.9066
angles (deg): 90.00 90.00 90.00
Fractional positions:
Ac 0.0000 0.0000 0.0000
Ac 0.5000 0.5000 0.5000
Pm 0.1133 0.3739 0.0000
Pm 0.1261 0.6133 0.5000
Pm 0.3739 0.1133 0.0000
Pm 0.3867 0.8739 0.5000
Pm 0.6133 0.1261 0.5000
Pm 0.6261 0.8867 0.0000
Pm 0.8739 0.3867 0.5000
Pm 0.8867 0.6261 0.0000
Nd 0.1967 0.1967 0.5000
Nd 0.3033 0.6967 0.0000
Nd 0.6967 0.3033 0.0000
Nd 0.8033 0.8033 0.5000

Most intense lines, 2θ = 10–90°, by angle:
| d [Å] | I_rel |
| --- | --- |
| 3.443 | 43 |
| 2.997 | 38 |
| 2.953 | 65 |
| 2.914 | 100 |
| 2.785 | 50 |
| 2.672 | 68 |
| 2.103 | 28 |
| 1.573 | 29 |